No. 1
Calculated X-ray diffraction stick pattern
Compound: KLiPdO2
Radiation: Cu Kα
Structure: DFT lattice parameters and positions (GGA-PBE)
No peak broadening, texture or thermal motion is included.

Crystal structure
```
data_KLiPdO2
_chemical_formula_sum 'K1 Li1 Pd1 O2'
_cell_length_a 3.298
_cell_length_b 3.718
_cell_length_c 6.359
_cell_angle_alpha 90.00
_cell_angle_beta 90.00
_cell_angle_gamma 90.00
_symmetry_space_group_name_H-M 'P m m m'
_symmetry_Int_Tables_number 47
_symmetry_space_group_name_Hall '-P 2 2'
loop_
_atom_site_label
_atom_site_type_symbol
_atom_site_fract_x
_atom_site_fract_y
_atom_site_fract_z
K1 K 0.000 0.000 0.000
Li1 Li 0.000 0.000 0.500
Pd1 Pd 0.500 0.500 0.500
O1 O 0.000 0.500 0.300
```

Largest 10 diffraction maxima, most intense first, 2θ from 10° to 90°:
(hkl)  2θ (°)  d [Å]  Rel. int.
0 1 1  27.79  3.210  100
0 0 1  13.93  6.359  74
1 1 2  46.59  1.949  61
1 0 1  30.53  2.928  58
0 0 2  28.06  3.180  32
1 1 0  36.41  2.467  29
0 1 0  23.93  3.718  28
1 0 3  51.22  1.783  25
1 2 1  58.84  1.569  17
2 1 1  63.41  1.467  17

No. 2
Calculated X-ray diffraction stick pattern
Compound: Rb3NbRe
Radiation: Cu Kα
Structure: DFT lattice parameters and positions (GGA-PBE)
No peak broadening, texture or thermal motion is included.

Crystal structure
```
data_Rb3NbRe
_chemical_formula_sum 'Rb3 Nb1 Re1'
_cell_length_a 6.625
_cell_length_b 6.625
_cell_length_c 6.625
_cell_angle_alpha 90.00
_cell_angle_beta 90.00
_cell_angle_gamma 90.00
_symmetry_space_group_name_H-M 'P m -3 m'
_symmetry_Int_Tables_number 221
_symmetry_space_group_name_Hall '-P 4 2 3'
loop_
_atom_site_label
_atom_site_type_symbol
_atom_site_fract_x
_atom_site_fract_y
_atom_site_fract_z
Rb1 Rb 0.000 0.000 0.500
Nb1 Nb 0.500 0.500 0.500
Re1 Re 0.000 0.000 0.000
```

Largest 10 diffraction maxima, most intense first, 2θ from 10° to 90°:
(hkl)  2θ (°)  d [Å]  Rel. int.
2 0 0  26.92  3.312  100
2 2 0  38.43  2.342  77
1 1 0  18.94  4.684  59
1 0 0  13.37  6.625  51
4 2 0  62.72  1.481  36
2 1 0  30.17  2.963  31
2 1 1  33.12  2.705  29
2 2 2  47.55  1.912  28
4 2 2  69.51  1.352  27
1 1 1  23.26  3.825  21